# 1
Theoretical powder diffraction line list
Compound: CeNi9Sn2
Radiation: CuKα
Structure: a crystal structure in Alexandria, relaxed with PBE

Main lines, low angle first (2θ = 10–80°):
hkl 3 1 0, 34.4°, intensity 24.1; hkl 2 2 1, 35.9°, intensity 19.0; hkl 0 0 2, 36.8°, intensity 17.8; hkl 3 1 1, 39.2°, intensity 100.0; hkl 2 0 2, 43.1°, intensity 24.1; hkl 3 2 1, 43.7°, intensity 38.2; hkl 2 1 2, 44.5°, intensity 74.9; hkl 4 1 0, 45.4°, intensity 27.8; hkl 3 1 3, 67.9°, intensity 18.3; hkl 5 1 2, 69.8°, intensity 14.4

Structure:
```
data_CeNi9Sn2
_symmetry_space_group_name_H-M 'P 4/m b m'
_symmetry_Int_Tables_number 127
_symmetry_space_group_name_Hall '-P 4 2ab'
_cell_length_a 8.2374
_cell_length_b 8.2374
_cell_length_c 4.8831
_cell_angle_alpha 90.00
_cell_angle_beta 90.00
_cell_angle_gamma 90.00
loop_
_atom_site_label
_atom_site_fract_x
_atom_site_fract_y
_atom_site_fract_z
Ce1 0.0000 0.0000 0.0000
Ni1 0.0000 0.5000 0.5000
Ni2 0.0661 0.2045 0.5000
Ni3 0.1739 0.6739 0.2462
Sn1 0.1269 0.3731 0.0000
```

---

# 2
Theoretical powder diffraction line list
Compound: Ce10Ni3Sn3
Radiation: CuKα
Structure: a crystal structure in Alexandria, relaxed with PBE

Main lines, low angle first (2θ = 10–80°):
hkl 1 1 3, 25.2°, intensity 20.5; hkl 3 1 1, 27.0°, intensity 23.0; hkl 0 4 2, 31.3°, intensity 23.8; hkl 1 3 3, 31.8°, intensity 71.4; hkl 3 3 1, 33.4°, intensity 100.0; hkl 2 0 4, 34.9°, intensity 76.4; hkl 2 4 2, 35.6°, intensity 61.6; hkl 5 1 3, 49.1°, intensity 17.6; hkl 5 3 3, 53.1°, intensity 20.8; hkl 6 6 0, 67.9°, intensity 22.2

Structure:
```
data_Ce10Ni3Sn3
_symmetry_space_group_name_H-M 'F m m 2'
_symmetry_Int_Tables_number 42
_symmetry_space_group_name_Hall 'F 2 -2'
_cell_length_a 10.6863
_cell_length_b 13.0841
_cell_length_c 11.7469
_cell_angle_alpha 90.00
_cell_angle_beta 90.00
_cell_angle_gamma 90.00
loop_
_atom_site_label
_atom_site_fract_x
_atom_site_fract_y
_atom_site_fract_z
Ce1 0.0000 0.1318 0.0000
Ce2 0.0000 0.1414 0.6973
Ce3 0.1803 0.1490 0.3337
Ce4 0.1955 0.0000 0.0802
Ni1 0.0000 0.0000 0.2452
Ni2 0.1311 0.0000 0.8229
Sn1 0.0000 0.0000 0.4775
Sn2 0.2500 0.2500 0.0848
```

---

# 3
Theoretical powder diffraction line list
Compound: CeNi5Sn
Radiation: CuKα
Structure: a crystal structure in Alexandria, relaxed with PBE

Main lines, low angle first (2θ = 10–80°):
hkl 1 0 6, 34.5°, intensity 66.1; hkl 1 1 0, 36.8°, intensity 100.0; hkl 1 0 7, 38.4°, intensity 44.2; hkl 1 1 4, 41.2°, intensity 65.5; hkl 2 0 1, 43.0°, intensity 51.7; hkl 1 1 6, 46.3°, intensity 52.6; hkl 1 0 9, 46.7°, intensity 47.3; hkl 2 1 6, 64.8°, intensity 21.0; hkl 1 1 12, 68.8°, intensity 19.9; hkl 2 2 0, 78.2°, intensity 33.6

Structure:
```
data_CeNi5Sn
_symmetry_space_group_name_H-M 'P 63/m m c'
_symmetry_Int_Tables_number 194
_symmetry_space_group_name_Hall '-P 6c 2c'
_cell_length_a 4.8906
_cell_length_b 4.8906
_cell_length_c 19.7173
_cell_angle_alpha 90.00
_cell_angle_beta 90.00
_cell_angle_gamma 120.00
loop_
_atom_site_label
_atom_site_fract_x
_atom_site_fract_y
_atom_site_fract_z
Ce1 0.0000 0.0000 0.0000
Ce2 0.3333 0.6667 0.2500
Ni1 0.0000 0.0000 0.2500
Ni2 0.1660 0.3319 0.6457
Ni3 0.3333 0.6667 0.5422
Ni4 0.3333 0.6667 0.7500
Sn1 0.3333 0.6667 0.0878
```

---

Repeat the second record exactly.
Theoretical powder diffraction line list
Compound: Ce10Ni3Sn3
Radiation: CuKα
Structure: a crystal structure in Alexandria, relaxed with PBE

Main lines, low angle first (2θ = 10–80°):
hkl 1 1 3, 25.2°, intensity 20.5; hkl 3 1 1, 27.0°, intensity 23.0; hkl 0 4 2, 31.3°, intensity 23.8; hkl 1 3 3, 31.8°, intensity 71.4; hkl 3 3 1, 33.4°, intensity 100.0; hkl 2 0 4, 34.9°, intensity 76.4; hkl 2 4 2, 35.6°, intensity 61.6; hkl 5 1 3, 49.1°, intensity 17.6; hkl 5 3 3, 53.1°, intensity 20.8; hkl 6 6 0, 67.9°, intensity 22.2

Structure:
```
data_Ce10Ni3Sn3
_symmetry_space_group_name_H-M 'F m m 2'
_symmetry_Int_Tables_number 42
_symmetry_space_group_name_Hall 'F 2 -2'
_cell_length_a 10.6863
_cell_length_b 13.0841
_cell_length_c 11.7469
_cell_angle_alpha 90.00
_cell_angle_beta 90.00
_cell_angle_gamma 90.00
loop_
_atom_site_label
_atom_site_fract_x
_atom_site_fract_y
_atom_site_fract_z
Ce1 0.0000 0.1318 0.0000
Ce2 0.0000 0.1414 0.6973
Ce3 0.1803 0.1490 0.3337
Ce4 0.1955 0.0000 0.0802
Ni1 0.0000 0.0000 0.2452
Ni2 0.1311 0.0000 0.8229
Sn1 0.0000 0.0000 0.4775
Sn2 0.2500 0.2500 0.0848
```

---

Repeat the third record exactly.
Theoretical powder diffraction line list
Compound: CeNi5Sn
Radiation: CuKα
Structure: a crystal structure in Alexandria, relaxed with PBE

Main lines, low angle first (2θ = 10–80°):
hkl 1 0 6, 34.5°, intensity 66.1; hkl 1 1 0, 36.8°, intensity 100.0; hkl 1 0 7, 38.4°, intensity 44.2; hkl 1 1 4, 41.2°, intensity 65.5; hkl 2 0 1, 43.0°, intensity 51.7; hkl 1 1 6, 46.3°, intensity 52.6; hkl 1 0 9, 46.7°, intensity 47.3; hkl 2 1 6, 64.8°, intensity 21.0; hkl 1 1 12, 68.8°, intensity 19.9; hkl 2 2 0, 78.2°, intensity 33.6

Structure:
```
data_CeNi5Sn
_symmetry_space_group_name_H-M 'P 63/m m c'
_symmetry_Int_Tables_number 194
_symmetry_space_group_name_Hall '-P 6c 2c'
_cell_length_a 4.8906
_cell_length_b 4.8906
_cell_length_c 19.7173
_cell_angle_alpha 90.00
_cell_angle_beta 90.00
_cell_angle_gamma 120.00
loop_
_atom_site_label
_atom_site_fract_x
_atom_site_fract_y
_atom_site_fract_z
Ce1 0.0000 0.0000 0.0000
Ce2 0.3333 0.6667 0.2500
Ni1 0.0000 0.0000 0.2500
Ni2 0.1660 0.3319 0.6457
Ni3 0.3333 0.6667 0.5422
Ni4 0.3333 0.6667 0.7500
Sn1 0.3333 0.6667 0.0878
```